No. 1
Diffraction record for Ga3NO3. The powder XRD pattern is calculated, not measured: it uses a DFT-relaxed cell (PBE, the Materials Project) and Cu Ka.
Lines closer than 0.1° are merged.

The 8 most intense peaks (10° ≤ 2θ ≤ 80°), most intense first:
(1 1 3), 2θ = 35.44°, d 2.533, rel. 1000; (0 2 1), 2θ = 35.58°, d 2.523, rel. 422; (2 2 0), 2θ = 62.86°, d 1.478, rel. 382; (2 0 8), 2θ = 62.11°, d 1.494, rel. 350; (0 1 5), 2θ = 35.16°, d 2.553, rel. 349; (0 2 4), 2θ = 43.03°, d 2.102, rel. 305; (1 0 4), 2θ = 29.90°, d 2.989, rel. 254; (0 3 3), 2θ = 57.13°, d 1.612, rel. 247

```
data_Ga3NO3
_chemical_formula_sum 'Ga18 N6 O18'
_symmetry_space_group_name_H-M 'R -3 m'
_symmetry_Int_Tables_number 166
_symmetry_space_group_name_Hall '-R 3 2"'
_cell_length_a 5.9139
_cell_length_b 5.9139
_cell_length_c 14.7213
_cell_angle_alpha 90.00
_cell_angle_beta 90.00
_cell_angle_gamma 120.00
loop_
_atom_site_label
_atom_site_fract_x
_atom_site_fract_y
_atom_site_fract_z
_atom_site_occupancy
Ga1 0.0000 0.0000 0.0000 1
Ga2 0.0000 0.0000 0.3628 1
Ga3 0.0000 0.5000 0.5000 1
N1 0.0000 0.0000 0.2327 1
O1 0.0135 0.5068 0.7472 1
```


No. 2
Diffraction record for Ga3NO3. The powder XRD pattern is calculated, not measured: it uses a DFT-relaxed cell (PBE, the Materials Project) and Cu Ka.
Lines closer than 0.1° are merged.

The 8 most intense peaks (10° ≤ 2θ ≤ 80°), most intense first:
(1 1 0), 2θ = 18.84°, d 4.711, rel. 1000; (1 0 2), 2θ = 28.38°, d 3.145, rel. 939; (2 1 1), 2θ = 31.52°, d 2.838, rel. 918; (1 3 1), 2θ = 35.73°, d 2.513, rel. 843; (1 -1 2), 2θ = 35.57°, d 2.524, rel. 749; (2 0 2), 2θ = 38.18°, d 2.357, rel. 677; (2 -1 0), 2θ = 31.68°, d 2.824, rel. 645; (0 2 -1), 2θ = 32.36°, d 2.766, rel. 628

```
data_Ga3NO3
_chemical_formula_sum 'Ga12 N4 O12'
_symmetry_space_group_name_H-M 'P 1'
_symmetry_Int_Tables_number 1
_symmetry_space_group_name_Hall 'P 1'
_cell_length_a 6.1412
_cell_length_b 8.3653
_cell_length_c 8.4189
_cell_angle_alpha 60.49
_cell_angle_beta 89.46
_cell_angle_gamma 89.30
loop_
_atom_site_label
_atom_site_fract_x
_atom_site_fract_y
_atom_site_fract_z
_atom_site_occupancy
Ga1 0.0000 0.0000 0.0000 1
Ga2 0.0009 0.0642 0.5846 1
Ga3 0.1895 0.2407 0.1689 1
Ga4 0.1932 0.5872 0.2471 1
Ga5 0.2025 0.6673 0.8244 1
Ga6 0.4790 0.5887 0.5722 1
Ga7 0.4813 0.9856 0.5152 1
Ga8 0.4852 0.9224 0.1639 1
Ga9 0.6835 0.7583 0.9085 1
Ga10 0.6899 0.3358 0.9852 1
Ga11 0.6935 0.4044 0.3380 1
Ga12 0.9983 0.4184 0.6525 1
N1 0.2188 0.5329 0.7005 1
N2 0.2213 0.8397 0.1293 1
N3 0.2240 0.1195 0.4179 1
N4 0.4480 0.8158 0.7616 1
O1 0.0161 0.1618 0.7458 1
O2 0.1848 0.4961 0.0818 1
O3 0.4519 0.1816 0.0772 1
O4 0.4526 0.5010 0.3968 1
O5 0.5706 0.8328 0.4089 1
O6 0.6978 0.4959 0.0831 1
O7 0.7156 0.4531 0.7309 1
O8 0.7233 0.1500 0.4657 1
O9 0.7249 0.8824 0.0438 1
O10 0.9453 0.1903 0.0634 1
O11 0.9461 0.4854 0.4018 1
O12 0.9480 0.8186 0.7745 1
```


No. 3
Diffraction record for Ga3NO3. The powder XRD pattern is calculated, not measured: it uses a DFT-relaxed cell (PBE, the Materials Project) and Cu Ka.
Lines closer than 0.1° are merged.

The 8 most intense peaks (10° ≤ 2θ ≤ 80°), most intense first:
(2 1 -1), 2θ = 31.67°, d 2.825, rel. 1000; (1 1 -1), 2θ = 18.95°, d 4.684, rel. 793; (2 2 0), 2θ = 38.44°, d 2.342, rel. 733; (1 -3 2), 2θ = 35.84°, d 2.505, rel. 633; (1 1 2), 2θ = 35.66°, d 2.518, rel. 614; (0 1 2), 2θ = 32.29°, d 2.772, rel. 560; (0 1 -3), 2θ = 32.53°, d 2.753, rel. 546; (0 2 -3), 2θ = 32.67°, d 2.741, rel. 513

```
data_Ga3NO3
_chemical_formula_sum 'Ga12 N4 O12'
_symmetry_space_group_name_H-M 'P 1'
_symmetry_Int_Tables_number 1
_symmetry_space_group_name_Hall 'P 1'
_cell_length_a 6.1419
_cell_length_b 8.3840
_cell_length_c 8.3976
_cell_angle_alpha 119.34
_cell_angle_beta 90.30
_cell_angle_gamma 90.29
loop_
_atom_site_label
_atom_site_fract_x
_atom_site_fract_y
_atom_site_fract_z
_atom_site_occupancy
Ga1 0.0000 0.0000 0.0000 1
Ga2 0.9998 0.4240 0.3432 1
Ga3 0.2921 0.7335 0.3336 1
Ga4 0.2946 0.6699 0.6736 1
Ga5 0.3060 0.0961 0.7524 1
Ga6 0.4814 0.3373 0.1675 1
Ga7 0.5001 0.9158 0.0823 1
Ga8 0.5046 0.2561 0.5130 1
Ga9 0.7795 0.5828 0.7620 1
Ga10 0.7813 0.2374 0.8204 1
Ga11 0.7977 0.6528 0.1733 1
Ga12 0.9858 0.0827 0.4288 1
N1 0.2456 0.4905 0.2644 1
N2 0.5136 0.5116 0.6445 1
N3 0.5328 0.1923 0.9193 1
N4 0.7484 0.1637 0.5737 1
O1 0.0114 0.5599 0.6053 1
O2 0.0265 0.1209 0.8657 1
O3 0.0260 0.8237 0.2857 1
O4 0.2503 0.8499 0.9332 1
O5 0.2524 0.1499 0.5591 1
O6 0.3234 0.8413 0.5898 1
O7 0.4900 0.1611 0.2541 1
O8 0.5253 0.7772 0.2069 1
O9 0.7456 0.4914 0.2644 1
O10 0.7617 0.8414 0.9480 1
O11 0.8583 0.4986 0.9278 1
O12 0.9927 0.1651 0.2516 1
```


No. 4
Diffraction record for Ga3NO3. The powder XRD pattern is calculated, not measured: it uses a DFT-relaxed cell (PBE, the Materials Project) and Cu Ka.
Lines closer than 0.1° are merged.

The 8 most intense peaks (10° ≤ 2θ ≤ 80°), most intense first:
(2 2 0), 2θ = 35.51°, d 2.528, rel. 1000; (3 1 -3), 2θ = 35.24°, d 2.547, rel. 956; (3 1 1), 2θ = 35.39°, d 2.537, rel. 934; (6 2 -2), 2θ = 62.34°, d 1.490, rel. 803; (2 0 2), 2θ = 30.00°, d 2.979, rel. 672; (4 2 2), 2θ = 56.94°, d 1.617, rel. 411; (2 2 2), 2θ = 43.11°, d 2.098, rel. 312; (4 0 0), 2θ = 36.93°, d 2.434, rel. 267

```
data_Ga3NO3
_chemical_formula_sum 'Ga24 N8 O24'
_symmetry_space_group_name_H-M 'C 1 2/m 1'
_symmetry_Int_Tables_number 12
_symmetry_space_group_name_Hall '-C 2y'
_cell_length_a 10.3343
_cell_length_b 5.9174
_cell_length_c 10.3539
_cell_angle_alpha 90.00
_cell_angle_beta 109.74
_cell_angle_gamma 90.00
loop_
_atom_site_label
_atom_site_fract_x
_atom_site_fract_y
_atom_site_fract_z
_atom_site_occupancy
Ga1 0.0000 0.0000 0.0000 1
Ga2 0.0000 0.5000 0.5000 1
Ga3 0.0514 0.0000 0.6964 1
Ga4 0.0608 0.5000 0.1914 1
Ga5 0.2493 0.0000 0.2562 1
Ga6 0.2500 0.2500 0.0000 1
Ga7 0.2500 0.2500 0.5000 1
N1 0.1306 0.0000 0.8974 1
N2 0.1473 0.0000 0.3847 1
O1 0.1213 0.2625 0.6231 1
O2 0.1243 0.5000 0.3843 1
O3 0.1297 0.2440 0.1268 1
O4 0.1344 0.5000 0.8701 1
```


No. 5
Diffraction record for Ga23N5O27. The powder XRD pattern is calculated, not measured: it uses a DFT-relaxed cell (PBE, the Materials Project) and Cu Ka.
Lines closer than 0.1° are merged.

The 8 most intense peaks (10° ≤ 2θ ≤ 80°), most intense first:
(1 1 -6), 2θ = 35.36°, d 2.538, rel. 1000; (1 -1 4), 2θ = 35.46°, d 2.532, rel. 774; (2 2 0), 2θ = 35.61°, d 2.521, rel. 503; (2 -2 0), 2θ = 62.21°, d 1.492, rel. 439; (2 4 2), 2θ = 62.77°, d 1.480, rel. 414; (2 2 -4), 2θ = 43.02°, d 2.103, rel. 318; (-1 1 4), 2θ = 35.22°, d 2.548, rel. 314; (1 2 1), 2θ = 30.14°, d 2.965, rel. 294

```
data_Ga23N5O27
_chemical_formula_sum 'Ga23 N5 O27'
_symmetry_space_group_name_H-M 'P 1'
_symmetry_Int_Tables_number 1
_symmetry_space_group_name_Hall 'P 1'
_cell_length_a 5.9181
_cell_length_b 5.9253
_cell_length_c 19.6185
_cell_angle_alpha 81.76
_cell_angle_beta 82.17
_cell_angle_gamma 60.53
loop_
_atom_site_label
_atom_site_fract_x
_atom_site_fract_y
_atom_site_fract_z
_atom_site_occupancy
Ga1 0.0000 0.0000 0.0000 1
Ga2 0.0033 0.0042 0.4971 1
Ga3 0.0133 0.5206 0.4095 1
Ga4 0.1253 0.5949 0.1181 1
Ga5 0.2267 0.7235 0.8489 1
Ga6 0.2427 0.2544 0.7483 1
Ga7 0.2462 0.7457 0.2438 1
Ga8 0.2478 0.2562 0.2460 1
Ga9 0.2554 0.7887 0.6585 1
Ga10 0.3751 0.8796 0.3770 1
Ga11 0.4789 0.9679 0.0893 1
Ga12 0.4967 0.9979 0.4943 1
Ga13 0.4993 0.4975 0.9983 1
Ga14 0.5018 0.5055 0.4976 1
Ga15 0.5198 0.0281 0.9058 1
Ga16 0.6311 0.1207 0.6255 1
Ga17 0.7209 0.2203 0.3409 1
Ga18 0.7468 0.2862 0.1512 1
Ga19 0.7482 0.7495 0.2471 1
Ga20 0.7583 0.7460 0.7458 1
Ga21 0.7605 0.2471 0.7469 1
Ga22 0.8857 0.3892 0.8801 1
Ga23 0.9697 0.4696 0.5970 1
N1 0.1913 0.1618 0.4389 1
N2 0.3903 0.4557 0.1877 1
N3 0.6563 0.6955 0.4392 1
N4 0.9006 0.9536 0.6900 1
N5 0.9357 0.4354 0.6944 1
O1 0.0509 0.5663 0.3066 1
O2 0.0535 0.0845 0.8124 1
O3 0.0592 0.5573 0.8137 1
O4 0.0851 0.0505 0.3072 1
O5 0.1693 0.1777 0.9359 1
O6 0.1866 0.6907 0.4387 1
O7 0.1919 0.6948 0.9437 1
O8 0.3066 0.8024 0.0602 1
O9 0.3075 0.8090 0.5592 1
O10 0.3220 0.3174 0.0602 1
O11 0.3416 0.3018 0.5592 1
O12 0.4308 0.9344 0.1928 1
O13 0.4365 0.9485 0.6873 1
O14 0.4375 0.4234 0.6883 1
O15 0.5488 0.5845 0.3088 1
O16 0.5533 0.0542 0.3084 1
O17 0.5534 0.0713 0.8052 1
O18 0.5852 0.5537 0.8099 1
O19 0.6727 0.6747 0.9345 1
O20 0.6837 0.1863 0.4396 1
O21 0.6938 0.1945 0.9369 1
O22 0.8011 0.3033 0.0560 1
O23 0.8015 0.3048 0.5601 1
O24 0.8033 0.8371 0.5573 1
O25 0.8340 0.8171 0.0658 1
O26 0.9259 0.4441 0.1889 1
O27 0.9270 0.9286 0.1920 1
```